Structure and calculated powder diffraction line list of LiRu (the GGA-PBE geometry in Alexandria; CuKα).
Neutral-atom scattering factors, no anomalous dispersion.

Main lines, low angle first (5 to 70 degrees two-theta):
Position (°2θ)  d [Å]  I (rel.)  index
21.96  4.048  100  1 1 0
30.40  2.940  11  1 3 0
34.66  2.588  53  0 2 1
42.07  2.148  30  2 0 0
42.90  2.108  41  1 5 0
44.15  2.051  98  1 3 1
44.96  2.016  19  0 6 0
55.61  1.653  27  2 2 1
63.26  1.470  13  2 6 0
69.67  1.350  9  1 1 2

Atomic structure:
```
data_LiRu
_chemical_formula_sum 'Li6 Ru6'
_cell_length_a 4.2960
_cell_length_b 12.0980
_cell_length_c 2.8631
_cell_angle_alpha 90.00
_cell_angle_beta 90.00
_cell_angle_gamma 90.00
_symmetry_space_group_name_H-M 'C m m m'
_symmetry_Int_Tables_number 65
_symmetry_space_group_name_Hall '-C 2 2'
loop_
_atom_site_label
_atom_site_type_symbol
_atom_site_fract_x
_atom_site_fract_y
_atom_site_fract_z
Li1 Li 0.0000 0.0000 0.0000
Li2 Li 0.0000 0.1466 0.5000
Ru1 Ru 0.0000 0.3172 0.0000
Ru2 Ru 0.0000 0.5000 0.5000
```